Entry 1:
Diffraction record for Ge2BiSe3. The powder X-ray diffraction pattern is simulated, not measured: it uses a crystal structure in Alexandria, relaxed with GGA-PBE and copper Kα.
Peak positions follow from Bragg's law for the DFT cell and can differ from measured ones.

Principal peaks in the range 2θ from 10° to 80°, most intense first:
2θ (°)  I/Imax
11.83  100
33.51  70
29.66  59
26.18  51
44.38  34
10.85  23

Structural model:
```
Ge2BiSe3
1.0
8.238 0.000 0.000
0.000 3.823 0.000
-1.934 0.000 13.696
Ge Bi Se
4 2 6
Direct
0.119 0.250 0.457
0.346 0.750 0.923
0.654 0.250 0.077
0.881 0.750 0.543
0.315 0.250 0.649
0.685 0.750 0.351
0.119 0.750 0.716
0.307 0.750 0.431
0.463 0.750 0.116
0.537 0.250 0.884
0.693 0.250 0.569
0.881 0.250 0.284
```

***

Entry 2:
Diffraction record for Pm2Hg9Pb. The powder X-ray diffraction pattern is simulated, not measured: it uses a crystal structure in Alexandria, relaxed with GGA-PBE and copper Kα.
Peak positions follow from Bragg's law for the DFT cell and can differ from measured ones.

Principal peaks in the range 2θ from 10° to 80°, most intense first:
2θ (°)  I/Imax
32.99  100
38.52  34
66.19  28
55.06  23
37.79  17
65.21  13

Structural model:
```
Pm2Hg9Pb
1.0
4.675 0.000 0.000
0.000 4.675 0.000
0.000 0.000 14.284
Pm Hg Pb
2 9 1
Direct
0.000 0.000 0.172
0.000 0.000 0.828
0.000 0.500 0.000
0.000 0.500 0.328
0.000 0.500 0.672
0.500 0.000 0.000
0.500 0.000 0.328
0.500 0.000 0.672
0.500 0.500 0.155
0.500 0.500 0.500
0.500 0.500 0.845
0.000 0.000 0.500
```

***

Entry 3:
Diffraction record for Ac7LaPr3. The powder X-ray diffraction pattern is simulated, not measured: it uses a crystal structure in Alexandria, relaxed with GGA-PBE and copper Kα.
Peak positions follow from Bragg's law for the DFT cell and can differ from measured ones.

Principal peaks in the range 2θ from 10° to 80°, most intense first:
2θ (°)  I/Imax
28.51  100
28.03  70
28.84  66
33.89  65
31.13  51
46.15  27

Structural model:
```
Ac7LaPr3
1.0
6.236 -5.601 0.000
6.236 5.601 0.000
-0.838 0.000 6.907
Ac La Pr
7 1 3
Direct
0.000 0.000 0.000
0.081 0.424 0.259
0.265 0.265 0.772
0.424 0.081 0.259
0.576 0.919 0.741
0.735 0.735 0.228
0.919 0.576 0.741
0.000 0.000 0.500
0.335 0.665 0.000
0.500 0.500 0.500
0.665 0.335 0.000
```

***

Entry 4:
Diffraction record for Y2TlRh. The powder X-ray diffraction pattern is simulated, not measured: it uses a crystal structure in Alexandria, relaxed with GGA-PBE and copper Kα.
Peak positions follow from Bragg's law for the DFT cell and can differ from measured ones.

Principal peaks in the range 2θ from 10° to 80°, most intense first:
2θ (°)  I/Imax
34.87  100
35.38  48
63.19  35
62.19  18
50.90  17
73.63  11

Structural model:
```
Y2TlRh
1.0
3.585 -3.590 0.000
3.585 3.590 0.000
0.000 0.000 3.692
Y Tl Rh
2 1 1
Direct
0.000 0.500 0.000
0.500 0.000 0.000
0.000 0.000 0.500
0.500 0.500 0.500
```

***

Entry 5:
Diffraction record for CsMg14Zr. The powder X-ray diffraction pattern is simulated, not measured: it uses a crystal structure in Alexandria, relaxed with GGA-PBE and copper Kα.
Peak positions follow from Bragg's law for the DFT cell and can differ from measured ones.

Principal peaks in the range 2θ from 10° to 80°, most intense first:
2θ (°)  I/Imax
35.55  100
15.41  42
22.86  38
31.11  30
33.92  23
46.69  19

Structural model:
```
CsMg14Zr
1.0
6.638 0.000 0.000
-3.319 5.749 0.000
0.000 0.000 10.571
Cs Mg Zr
1 14 1
Direct
0.000 0.000 0.000
0.010 0.505 0.000
0.171 0.342 0.270
0.171 0.342 0.730
0.171 0.829 0.270
0.171 0.829 0.730
0.495 0.505 0.000
0.495 0.990 0.000
0.502 0.004 0.500
0.502 0.498 0.500
0.658 0.829 0.270
0.658 0.829 0.730
0.667 0.333 0.244
0.667 0.333 0.756
0.996 0.498 0.500
0.000 0.000 0.500
```

***

Entry 6:
Diffraction record for Tb3Ag2Hg6. The powder X-ray diffraction pattern is simulated, not measured: it uses a crystal structure in Alexandria, relaxed with GGA-PBE and copper Kα.
Peak positions follow from Bragg's law for the DFT cell and can differ from measured ones.

Principal peaks in the range 2θ from 10° to 80°, most intense first:
2θ (°)  I/Imax
33.39  100
32.56  60
24.77  55
47.33  43
33.66  39
47.94  37

Structural model:
```
Tb3Ag2Hg6
1.0
-2.684 2.684 11.207
2.684 -2.684 11.207
2.684 2.684 -11.207
Tb Ag Hg
3 2 6
Direct
0.000 0.000 0.000
0.150 0.150 0.000
0.850 0.850 0.000
0.410 0.410 0.000
0.590 0.590 0.000
0.074 0.574 0.500
0.285 0.285 0.000
0.426 0.926 0.500
0.574 0.074 0.500
0.715 0.715 0.000
0.926 0.426 0.500
```

***

Entry 7:
Diffraction record for Cd4H2Pb. The powder X-ray diffraction pattern is simulated, not measured: it uses a crystal structure in Alexandria, relaxed with GGA-PBE and copper Kα.
Peak positions follow from Bragg's law for the DFT cell and can differ from measured ones.

Principal peaks in the range 2θ from 10° to 80°, most intense first:
2θ (°)  I/Imax
31.61  100
33.80  93
35.35  72
42.79  32
56.67  24
67.88  23

Structural model:
```
Cd4H2Pb
1.0
5.076 0.000 0.000
0.000 3.163 0.000
-2.528 0.000 8.523
Cd H Pb
4 2 1
Direct
0.109 0.000 0.218
0.314 0.500 0.627
0.686 0.500 0.373
0.891 0.000 0.782
0.237 0.000 0.473
0.763 0.000 0.527
0.500 0.500 0.000
```

***

Entry 8:
Diffraction record for PuCdIn6. The powder X-ray diffraction pattern is simulated, not measured: it uses a crystal structure in Alexandria, relaxed with GGA-PBE and copper Kα.
Peak positions follow from Bragg's law for the DFT cell and can differ from measured ones.

Principal peaks in the range 2θ from 10° to 80°, most intense first:
2θ (°)  I/Imax
33.72  100
33.21  24
36.28  23
63.65  15
50.00  15
59.67  13

Structural model:
```
PuCdIn6
1.0
3.880 -5.395 0.000
3.880 5.395 0.000
0.000 0.000 4.952
Pu Cd In
1 1 6
Direct
0.000 0.000 0.000
0.500 0.500 0.000
0.000 0.500 0.000
0.214 0.786 0.500
0.289 0.289 0.500
0.500 0.000 0.000
0.711 0.711 0.500
0.786 0.214 0.500
```

***

Entry 9:
Diffraction record for NaZn7Ag12. The powder X-ray diffraction pattern is simulated, not measured: it uses a crystal structure in Alexandria, relaxed with GGA-PBE and copper Kα.
Peak positions follow from Bragg's law for the DFT cell and can differ from measured ones.

Principal peaks in the range 2θ from 10° to 80°, most intense first:
2θ (°)  I/Imax
42.16  100
46.41  91
22.72  82
35.03  79
29.47  72
37.53  55

Structural model:
```
NaZn7Ag12
1.0
-4.793 4.793 4.793
4.793 -4.793 4.793
4.793 4.793 -4.793
Na Zn Ag
1 7 12
Direct
0.000 0.000 0.000
0.000 0.000 0.500
0.000 0.500 0.000
0.000 0.500 0.500
0.500 0.000 0.000
0.500 0.000 0.500
0.500 0.500 0.000
0.500 0.500 0.500
0.117 0.266 0.851
0.149 0.415 0.266
0.149 0.883 0.734
0.266 0.149 0.415
0.266 0.851 0.117
0.415 0.266 0.149
0.585 0.734 0.851
0.734 0.149 0.883
0.734 0.851 0.585
0.851 0.117 0.266
0.851 0.585 0.734
0.883 0.734 0.149
```